Diffraction record for Li9Mn3N4. The powder diffraction line list is computed, not measured: it uses a structure optimized by DFT (PBE) and Cu Kα (weighted mean of Kα1 and Kα2).

Structure:
```
Li9Mn3N4
1.0
5.008 -1.860 0.000
5.008 1.860 0.000
-1.760 0.000 9.861
Li Mn N
9 3 4
direct
0.000 0.000 0.000
0.035 0.035 0.294
0.209 0.209 0.455
0.266 0.266 0.057
0.456 0.456 0.201
0.544 0.544 0.799
0.734 0.734 0.943
0.791 0.791 0.545
0.965 0.965 0.706
0.245 0.245 0.744
0.500 0.500 0.500
0.755 0.755 0.256
0.129 0.129 0.874
0.377 0.377 0.626
0.623 0.623 0.374
0.871 0.871 0.126
```

Largest 10 diffraction maxima, by angle, 2θ from 10° to 90°:
2θ/deg  d/Å  I_rel
18.0  4.931  12
27.7  3.219  100
36.4  2.467  44
47.3  1.920  11
49.0  1.858  29
55.7  1.649  22
57.2  1.609  10
62.6  1.484  8
70.5  1.335  16
77.4  1.233  7

=====

Diffraction record for Li6Mn2N3. The powder diffraction line list is computed, not measured: it uses a structure optimized by DFT (PBE) and Cu Kα (weighted mean of Kα1 and Kα2).

Structure:
```
Li6Mn2N3
1.0
3.744 0.000 0.000
0.000 5.573 3.205
0.000 -5.573 3.205
Li Mn N
6 2 3
direct
0.000 0.000 0.000
0.000 0.048 0.378
0.000 0.378 0.048
0.000 0.451 0.694
0.000 0.694 0.451
0.500 0.334 0.334
0.500 0.075 0.707
0.500 0.707 0.075
0.000 0.069 0.710
0.000 0.338 0.338
0.000 0.710 0.069
```

Largest 10 diffraction maxima, by angle, 2θ from 10° to 90°:
2θ/deg  d/Å  I_rel
15.9  5.568  54
27.8  3.211  100
28.7  3.107  25
32.2  2.779  12
36.9  2.437  33
40.4  2.231  11
43.0  2.106  11
48.6  1.872  10
49.2  1.852  16
56.9  1.617  20

=====

Diffraction record for Li3MnN2. The powder diffraction line list is computed, not measured: it uses a structure optimized by DFT (PBE) and Cu Kα (weighted mean of Kα1 and Kα2).

Structure:
```
Li3MnN2
1.0
3.512 -3.158 0.000
3.512 3.158 0.000
0.000 0.000 5.822
Li Mn N
6 2 4
direct
0.239 0.761 0.750
0.299 0.299 0.000
0.299 0.299 0.500
0.701 0.701 0.000
0.701 0.701 0.500
0.761 0.239 0.250
0.162 0.838 0.250
0.838 0.162 0.750
0.000 0.000 0.000
0.000 0.000 0.500
0.428 0.572 0.250
0.572 0.428 0.750
```

Largest 10 diffraction maxima, by angle, 2θ from 10° to 90°:
2θ/deg  d/Å  I_rel
18.9  4.697  31
24.3  3.655  100
25.4  3.512  63
30.7  2.911  15
32.2  2.776  15
40.2  2.241  25
41.5  2.178  15
44.1  2.054  18
55.4  1.658  17
68.0  1.379  12